1.
The following is a computed X-ray powder pattern of Li4Mn2FeNi3P6O24. It was derived from a crystal structure in Alexandria, relaxed with PBE+U, using copper Kα.

Top 10 peaks for 10° ≤ 2θ ≤ 90°, by angle:
d/Å	Position (°2θ)	intensity	index
4.400	20.2	27	1 1 -1
4.359	20.4	100	0 1 1
3.782	23.5	43	0 1 -2
3.704	24.0	42	2 0 -1
3.584	24.8	44	-1 2 1
2.777	32.2	64	1 -2 2
2.621	34.2	26	-2 3 1
2.537	35.4	29	1 2 0
2.528	35.5	24	2 1 -3
2.508	35.8	25	-1 1 3

a = 8.388 Å, b = 8.418 Å, c = 8.718 Å
α = 93.08°, β = 118.18°, γ = 116.84°
Space group P1 (No. 1)
Inequivalent atoms, fractional coordinates:
Li 0.000 0.000 0.000 (multiplicity 1)
Li 0.172 0.332 0.577 (multiplicity 1)
Li 0.381 0.903 0.527 (multiplicity 1)
Li 0.564 0.599 0.256 (multiplicity 1)
Mn 0.468 0.758 0.892 (multiplicity 1)
Mn 0.494 0.262 0.406 (multiplicity 1)
Fe 0.772 0.603 0.042 (multiplicity 1)
Ni 0.159 0.384 0.214 (multiplicity 1)
Ni 0.188 0.908 0.739 (multiplicity 1)
Ni 0.771 0.110 0.545 (multiplicity 1)
P 0.015 0.006 0.352 (multiplicity 1)
P 0.275 0.315 0.918 (multiplicity 1)
P 0.277 0.801 0.141 (multiplicity 1)
P 0.685 0.719 0.647 (multiplicity 1)
P 0.694 0.190 0.855 (multiplicity 1)
P 0.949 0.502 0.428 (multiplicity 1)
O 0.049 0.754 0.073 (multiplicity 1)
O 0.068 0.439 0.376 (multiplicity 1)
O 0.077 0.312 0.770 (multiplicity 1)
O 0.123 0.650 0.625 (multiplicity 1)
O 0.140 0.931 0.480 (multiplicity 1)
O 0.192 0.187 0.346 (multiplicity 1)
O 0.290 0.290 0.101 (multiplicity 1)
O 0.307 0.180 0.835 (multiplicity 1)
O 0.308 0.641 0.192 (multiplicity 1)
O 0.330 0.846 0.996 (multiplicity 1)
O 0.431 0.985 0.318 (multiplicity 1)
O 0.471 0.529 0.986 (multiplicity 1)
O 0.497 0.993 0.809 (multiplicity 1)
O 0.569 0.538 0.479 (multiplicity 1)
O 0.610 0.851 0.575 (multiplicity 1)
O 0.612 0.653 0.782 (multiplicity 1)
O 0.649 0.200 0.662 (multiplicity 1)
O 0.720 0.363 0.955 (multiplicity 1)
O 0.772 0.327 0.434 (multiplicity 1)
O 0.822 0.571 0.286 (multiplicity 1)
O 0.836 0.868 0.147 (multiplicity 1)
O 0.892 0.180 0.978 (multiplicity 1)
O 0.913 0.070 0.426 (multiplicity 1)
O 0.930 0.830 0.753 (multiplicity 1)


2.
The following is a computed X-ray powder pattern of Li10Mn5Fe3O16. It was derived from a crystal structure in Alexandria, relaxed with PBE+U, using copper Kα.

Top 10 peaks for 10° ≤ 2θ ≤ 90°, by angle:
d/Å	Position (°2θ)	intensity	index
4.980	17.8	94	0 0 2
4.666	19.0	29	0 1 -1
4.618	19.2	100	0 1 1
2.590	34.6	29	1 -2 2
2.575	34.8	31	1 1 2
2.515	35.7	31	2 0 1
2.070	43.7	29	0 2 -3
2.056	44.0	31	2 0 -3
2.049	44.2	59	2 -2 3
2.042	44.4	56	2 0 3

a = 5.984 Å, b = 6.034 Å, c = 9.961 Å
α = 90.43°, β = 90.09°, γ = 119.43°
Space group P1 (No. 1)
Inequivalent atoms, fractional coordinates:
Li 0.000 0.000 0.000 (multiplicity 1)
Li 0.002 0.988 0.504 (multiplicity 1)
Li 0.202 0.383 0.082 (multiplicity 1)
Li 0.218 0.807 0.075 (multiplicity 1)
Li 0.341 0.665 0.296 (multiplicity 1)
Li 0.397 0.175 0.569 (multiplicity 1)
Li 0.606 0.783 0.077 (multiplicity 1)
Li 0.669 0.331 0.792 (multiplicity 1)
Li 0.797 0.597 0.567 (multiplicity 1)
Li 0.811 0.183 0.574 (multiplicity 1)
Mn 0.346 0.669 0.547 (multiplicity 1)
Mn 0.671 0.831 0.800 (multiplicity 1)
Mn 0.684 0.337 0.044 (multiplicity 1)
Mn 0.846 0.176 0.304 (multiplicity 1)
Mn 0.846 0.666 0.303 (multiplicity 1)
Fe 0.174 0.832 0.800 (multiplicity 1)
Fe 0.176 0.335 0.801 (multiplicity 1)
Fe 0.352 0.172 0.304 (multiplicity 1)
O 0.005 0.000 0.690 (multiplicity 1)
O 0.012 0.023 0.192 (multiplicity 1)
O 0.014 0.507 0.175 (multiplicity 1)
O 0.037 0.516 0.673 (multiplicity 1)
O 0.163 0.316 0.426 (multiplicity 1)
O 0.194 0.848 0.435 (multiplicity 1)
O 0.323 0.156 0.916 (multiplicity 1)
O 0.342 0.667 0.916 (multiplicity 1)
O 0.495 0.507 0.681 (multiplicity 1)
O 0.500 0.975 0.684 (multiplicity 1)
O 0.501 0.481 0.186 (multiplicity 1)
O 0.524 0.011 0.191 (multiplicity 1)
O 0.659 0.811 0.448 (multiplicity 1)
O 0.675 0.312 0.423 (multiplicity 1)
O 0.839 0.682 0.910 (multiplicity 1)
O 0.841 0.157 0.907 (multiplicity 1)


3.
The following is a computed X-ray powder pattern of Li3Mn4Fe2O12. It was derived from a crystal structure in Alexandria, relaxed with PBE+U, using copper Kα.

Top 10 peaks for 10° ≤ 2θ ≤ 90°, by angle:
d/Å	Position (°2θ)	intensity	index
4.883	18.2	55	0 1 -1
4.839	18.3	100	1 1 1
4.822	18.4	45	0 0 3
2.550	35.2	24	2 0 1
2.515	35.7	17	0 1 5
2.504	35.9	15	2 1 -3
2.124	42.6	37	2 0 4
2.094	43.2	36	0 2 4
2.077	43.6	36	2 2 -4
1.482	62.7	21	4 2 0

a = 5.928 Å, b = 5.932 Å, c = 14.470 Å
α = 89.90°, β = 88.86°, γ = 60.65°
Space group P-1 (No. 2)
Inequivalent atoms, fractional coordinates:
Li 0.011 0.481 0.372 (multiplicity 2)
Li 0.316 0.844 0.704 (multiplicity 2)
Li 0.347 0.831 0.963 (multiplicity 2)
Mn 0.000 0.500 0.000 (multiplicity 1)
Mn 0.172 0.159 0.168 (multiplicity 2)
Mn 0.327 0.342 0.834 (multiplicity 2)
Mn 0.354 0.815 0.334 (multiplicity 2)
Mn 0.500 0.500 0.500 (multiplicity 1)
Fe 0.000 0.000 0.500 (multiplicity 1)
Fe 0.173 0.659 0.167 (multiplicity 2)
Fe 0.500 0.000 0.500 (multiplicity 1)
O 0.007 0.511 0.765 (multiplicity 2)
O 0.056 0.971 0.253 (multiplicity 2)
O 0.150 0.206 0.913 (multiplicity 2)
O 0.173 0.631 0.919 (multiplicity 2)
O 0.199 0.668 0.420 (multiplicity 2)
O 0.206 0.114 0.416 (multiplicity 2)
O 0.291 0.344 0.084 (multiplicity 2)
O 0.339 0.826 0.568 (multiplicity 2)
O 0.351 0.830 0.099 (multiplicity 2)
O 0.358 0.343 0.583 (multiplicity 2)
O 0.478 0.054 0.748 (multiplicity 2)
O 0.498 0.523 0.246 (multiplicity 2)


4.
The following is a computed X-ray powder pattern of Li4Mn5FeO12. It was derived from a crystal structure in Alexandria, relaxed with PBE+U, using copper Kα.

Top 10 peaks for 10° ≤ 2θ ≤ 90°, by angle:
d/Å	Position (°2θ)	intensity	index
5.203	17.0	100	0 0 2
2.618	34.3	8	2 0 0
2.502	35.9	9	1 3 -1
2.473	36.3	9	2 0 -2
2.430	37.0	15	1 3 1
2.224	40.6	12	2 0 2
2.113	42.8	15	1 3 -3
1.988	45.6	15	1 3 3
1.561	59.2	9	1 3 5
1.504	61.7	10	3 3 -1

a = 5.282 Å, b = 8.702 Å, c = 10.498 Å
α = 90.00°, β = 97.58°, γ = 90.00°
Space group C2/m (No. 12)
Inequivalent atoms, fractional coordinates:
Li 0.250 0.171 0.219 (multiplicity 8)
Mn 0.000 0.000 0.000 (multiplicity 2)
Mn 0.000 0.165 0.500 (multiplicity 4)
Mn 0.000 0.336 0.000 (multiplicity 4)
Fe 0.000 0.500 0.500 (multiplicity 2)
O 0.095 0.172 0.891 (multiplicity 8)
O 0.130 0.500 0.896 (multiplicity 4)
O 0.189 0.000 0.592 (multiplicity 4)
O 0.193 0.332 0.595 (multiplicity 8)


5.
The following is a computed X-ray powder pattern of Li2MnFe3O8. It was derived from a crystal structure in Alexandria, relaxed with PBE+U, using copper Kα.

Top 10 peaks for 10° ≤ 2θ ≤ 90°, by angle:
d/Å	Position (°2θ)	intensity	index
4.764	18.6	56	0 0 2
4.510	19.7	100	1 0 1
3.487	25.5	33	1 0 2
2.699	33.2	31	1 0 3
2.512	35.7	50	1 1 2
2.472	36.3	52	2 0 1
2.255	40.0	39	2 0 2
1.993	45.5	63	2 0 3
1.528	60.6	43	2 0 5
1.478	62.9	39	2 2 0

a = 5.9117 Å, b = 5.9117 Å, c = 9.5273 Å
α = 90.00°, β = 90.00°, γ = 120.00°
Space group P6_3mc (No. 186)
Inequivalent atoms, fractional coordinates:
Li 0.0000 0.0000 0.0000 (multiplicity 2)
Li 0.3333 0.6667 0.4050 (multiplicity 2)
Mn 0.3333 0.6667 0.9891 (multiplicity 2)
Fe 0.1696 0.3391 0.7184 (multiplicity 6)
O 0.0000 0.0000 0.3121 (multiplicity 2)
O 0.0426 0.5213 0.8536 (multiplicity 6)
O 0.1690 0.3380 0.1039 (multiplicity 6)
O 0.3333 0.6667 0.6103 (multiplicity 2)


6.
The following is a computed X-ray powder pattern of Li2MnFe3O8. It was derived from a crystal structure in Alexandria, relaxed with PBE+U, using copper Kα.

Top 10 peaks for 10° ≤ 2θ ≤ 90°, by angle:
d/Å	Position (°2θ)	intensity	index
4.722	18.8	100	1 1 1
2.466	36.4	47	3 1 1
2.361	38.1	11	2 2 2
2.045	44.3	54	4 0 0
1.877	48.5	10	3 3 1
1.574	58.6	20	5 1 1
1.446	64.4	32	4 4 0
1.383	67.8	14	5 3 1
1.181	81.5	8	4 4 4
1.145	84.6	7	5 5 1

a = 8.180 Å, b = 8.180 Å, c = 8.180 Å
α = 90.00°, β = 90.00°, γ = 90.00°
Space group P4_332 (No. 212)
Inequivalent atoms, fractional coordinates:
Li 0.001 0.499 0.501 (multiplicity 8)
Mn 0.125 0.875 0.375 (multiplicity 4)
Fe 0.125 0.125 0.625 (multiplicity 12)
O 0.111 0.388 0.113 (multiplicity 24)
O 0.112 0.612 0.888 (multiplicity 8)


7.
The following is a computed X-ray powder pattern of Li4MnFe5O12. It was derived from a crystal structure in Alexandria, relaxed with PBE+U, using copper Kα.

Top 10 peaks for 10° ≤ 2θ ≤ 90°, by angle:
d/Å	Position (°2θ)	intensity	index
4.968	17.9	100	0 0 2
2.471	36.4	8	2 0 0
2.463	36.5	16	1 3 -1
2.370	38.0	22	2 0 -2
2.082	43.5	8	2 0 2
2.073	43.7	16	1 3 -3
1.915	47.5	26	1 3 3
1.619	56.9	10	1 3 -5
1.444	64.5	10	3 3 -1
1.385	67.7	8	0 6 2

a = 5.007 Å, b = 8.646 Å, c = 10.069 Å
α = 90.00°, β = 99.30°, γ = 90.00°
Space group C2 (No. 5)
Inequivalent atoms, fractional coordinates:
Li 0.086 0.000 0.257 (multiplicity 4)
Li 0.090 0.334 0.256 (multiplicity 4)
Mn 0.000 0.168 0.500 (multiplicity 2)
Fe 0.000 0.001 0.000 (multiplicity 2)
Fe 0.000 0.334 0.000 (multiplicity 2)
Fe 0.000 0.503 0.500 (multiplicity 2)
Fe 0.000 0.670 0.000 (multiplicity 2)
Fe 0.000 0.833 0.500 (multiplicity 2)
O 0.114 0.171 0.893 (multiplicity 4)
O 0.136 0.492 0.894 (multiplicity 4)
O 0.142 0.841 0.892 (multiplicity 4)
O 0.194 0.000 0.603 (multiplicity 4)
O 0.194 0.336 0.603 (multiplicity 4)
O 0.212 0.668 0.605 (multiplicity 4)


8.
The following is a computed X-ray powder pattern of Li4MnFe5O12. It was derived from a crystal structure in Alexandria, relaxed with PBE+U, using copper Kα.

Top 10 peaks for 10° ≤ 2θ ≤ 90°, by angle:
d/Å	Position (°2θ)	intensity	index
4.951	17.9	100	0 0 2
2.448	36.7	16	1 3 -1
2.440	36.8	8	2 0 0
2.360	38.1	15	1 3 1
2.066	43.8	8	2 0 2
2.060	44.0	16	1 3 -3
1.911	47.6	17	1 3 3
1.889	48.2	8	2 0 -4
1.609	57.2	10	1 3 -5
1.429	65.3	10	3 3 -1

a = 4.939 Å, b = 8.623 Å, c = 10.022 Å
α = 90.00°, β = 98.86°, γ = 90.00°
Space group C2/m (No. 12)
Inequivalent atoms, fractional coordinates:
Li 0.081 0.166 0.255 (multiplicity 8)
Mn 0.000 0.500 0.000 (multiplicity 2)
Fe 0.000 0.000 0.500 (multiplicity 2)
Fe 0.000 0.166 0.000 (multiplicity 4)
Fe 0.000 0.335 0.500 (multiplicity 4)
O 0.132 0.000 0.894 (multiplicity 4)
O 0.133 0.334 0.894 (multiplicity 8)
O 0.193 0.169 0.604 (multiplicity 8)
O 0.215 0.500 0.605 (multiplicity 4)